Record 1
For RbNiAs2O8, DFT lattice parameters and positions (GGA+U) gives the simulated powder diffractogram in this record (Cu Ka).
Lines closer than 0.1° are merged.

Main lines, by angle (2θ from 10° to 90°):
h k l, two_theta, Rel. int.
0 0 1, 12.18, 100.0
1 0 0, 18.05, 19.5
1 0 1, 21.84, 63.1
0 1 2, 30.60, 55.3
1 1 0, 31.54, 85.6
2 -1 1, 33.92, 18.9
2 -1 2, 40.34, 45.2
0 1 4, 53.80, 20.2
3 -2 2, 55.57, 19.2
2 0 4, 63.71, 19.1

Structural model:
Cell: 5.674 5.674 7.266 Å, 90.00 90.00 120.00°
Element x y z (fractional)
Rb 0.000 0.000 0.000
Ni 0.000 0.000 0.500
As 0.333 0.667 0.592
As 0.667 0.333 0.408
O 0.167 0.337 0.672
O 0.169 0.833 0.672
O 0.333 0.667 0.349
O 0.337 0.169 0.328
O 0.663 0.831 0.672
O 0.667 0.333 0.651
O 0.831 0.167 0.328
O 0.833 0.663 0.328

Record 2
For RbNiAsO4, DFT lattice parameters and positions (GGA+U) gives the simulated powder diffractogram in this record (Cu Ka).
Lines closer than 0.1° are merged.

Main lines, by angle (2θ from 10° to 90°):
h k l, two_theta, Rel. int.
0 0 1, 11.59, 35.9
1 1 0, 23.65, 34.1
1 0 -2, 25.79, 100.0
0 1 2, 27.97, 48.3
1 1 1, 28.32, 85.3
0 2 0, 30.82, 72.7
2 1 -1, 38.73, 54.9
1 2 -2, 40.61, 49.0
2 2 1, 52.19, 19.9
2 3 -1, 60.14, 19.9

Structural model:
Cell: 5.093 5.802 7.873 Å, 90.00 104.04 90.00°
Element x y z (fractional)
Rb 0.202 0.250 0.117
Rb 0.798 0.750 0.883
Ni 0.132 0.750 0.509
Ni 0.868 0.250 0.491
As 0.382 0.250 0.693
As 0.618 0.750 0.307
O 0.144 0.024 0.674
O 0.144 0.476 0.674
O 0.378 0.750 0.118
O 0.489 0.250 0.502
O 0.511 0.750 0.498
O 0.622 0.250 0.882
O 0.856 0.524 0.326
O 0.856 0.976 0.326

Record 3
For TiNi2AsO6, DFT lattice parameters and positions (GGA+U) gives the simulated powder diffractogram in this record (Cu Ka).
Lines closer than 0.1° are merged.

Main lines, by angle (2θ from 10° to 90°):
h k l, two_theta, Rel. int.
0 0 1, 19.46, 60.5
1 1 1, 30.67, 100.0
2 0 0, 33.44, 44.9
1 1 2, 46.46, 44.0
2 2 0, 48.02, 37.8
2 2 1, 52.28, 14.7
3 1 1, 58.06, 29.8
3 1 2, 69.04, 24.5
4 0 0, 70.26, 10.4
2 0 3, 71.30, 18.5

Structural model:
Cell: 5.359 5.359 4.563 Å, 90.00 90.00 90.00°
Element x y z (fractional)
Ti 0.000 0.000 0.000
Ni 0.000 0.500 0.306
Ni 0.500 0.000 0.306
As 0.500 0.500 0.997
O 0.000 0.000 0.628
O 0.251 0.251 0.141
O 0.251 0.749 0.141
O 0.500 0.500 0.623
O 0.749 0.251 0.141
O 0.749 0.749 0.141

Record 4
For ZnNiAsO5, DFT lattice parameters and positions (GGA+U) gives the simulated powder diffractogram in this record (Cu Ka).
Lines closer than 0.1° are merged.

Main lines, by angle (2θ from 10° to 90°):
h k l, two_theta, Rel. int.
0 2 0, 22.36, 75.3
0 1 2, 24.40, 34.7
0 2 1, 24.88, 64.7
1 2 1, 28.97, 99.3
2 1 1, 33.45, 100.0
0 1 3, 34.67, 80.2
2 0 2, 36.84, 36.4
2 1 2, 38.60, 41.0
1 3 4, 58.90, 36.8
2 1 5, 65.71, 42.7

Structural model:
Cell: 6.067 7.953 8.211 Å, 90.00 90.00 90.00°
Element x y z (fractional)
Zn 0.000 0.239 0.190
Zn 0.000 0.739 0.310
Zn 0.500 0.261 0.810
Zn 0.500 0.761 0.690
Ni 0.250 0.250 0.500
Ni 0.250 0.750 0.000
Ni 0.750 0.250 0.500
Ni 0.750 0.750 0.000
As 0.000 0.406 0.823
As 0.000 0.906 0.677
As 0.500 0.094 0.177
As 0.500 0.594 0.323
O 0.000 0.104 0.592
O 0.000 0.356 0.404
O 0.000 0.604 0.908
O 0.000 0.856 0.096
O 0.003 0.246 0.961
O 0.238 0.392 0.705
O 0.238 0.891 0.794
O 0.262 0.109 0.294
O 0.262 0.608 0.205
O 0.497 0.754 0.461
O 0.500 0.144 0.596
O 0.500 0.396 0.408
O 0.500 0.644 0.904
O 0.500 0.896 0.092
O 0.503 0.254 0.039
O 0.738 0.108 0.295
O 0.738 0.609 0.206
O 0.762 0.391 0.706
O 0.762 0.892 0.795
O 0.997 0.746 0.539

Record 5
For ZnNiAs2O7, DFT lattice parameters and positions (GGA+U) gives the simulated powder diffractogram in this record (Cu Ka).
Lines closer than 0.1° are merged.

Main lines, by angle (2θ from 10° to 90°):
h k l, two_theta, Rel. int.
1 2 -2, 28.21, 100.0
1 0 2, 28.29, 43.4
1 3 0, 33.93, 11.5
2 2 0, 34.02, 20.3
1 1 -4, 38.69, 10.0
3 1 0, 42.08, 6.4
0 2 4, 45.97, 14.2
3 3 -4, 55.44, 16.1
4 3 -2, 60.30, 7.7
2 3 -6, 66.40, 6.5

Structural model:
Cell: 7.259 8.641 9.694 Å, 90.00 113.62 90.00°
Element x y z (fractional)
Zn 0.233 0.068 0.114
Zn 0.233 0.432 0.614
Zn 0.767 0.568 0.386
Zn 0.767 0.932 0.886
Ni 0.310 0.064 0.679
Ni 0.310 0.436 0.179
Ni 0.690 0.564 0.821
Ni 0.690 0.936 0.321
As 0.053 0.737 0.735
As 0.053 0.763 0.235
As 0.477 0.726 0.037
As 0.477 0.774 0.537
As 0.523 0.226 0.463
As 0.523 0.274 0.963
As 0.947 0.237 0.765
As 0.947 0.263 0.265
O 0.025 0.596 0.605
O 0.025 0.904 0.105
O 0.112 0.588 0.190
O 0.112 0.912 0.690
O 0.153 0.244 0.719
O 0.153 0.256 0.219
O 0.237 0.664 0.908
O 0.237 0.836 0.408
O 0.366 0.238 0.555
O 0.366 0.262 0.055
O 0.457 0.600 0.615
O 0.457 0.900 0.115
O 0.479 0.074 0.340
O 0.479 0.426 0.840
O 0.521 0.574 0.160
O 0.521 0.926 0.660
O 0.543 0.100 0.885
O 0.543 0.400 0.385
O 0.634 0.738 0.945
O 0.634 0.762 0.445
O 0.763 0.164 0.592
O 0.763 0.336 0.092
O 0.847 0.744 0.781
O 0.847 0.756 0.281
O 0.888 0.088 0.310
O 0.888 0.412 0.810
O 0.975 0.096 0.895
O 0.975 0.404 0.395